Starting from DFT lattice parameters and positions (PBE), the powder XRD pattern of CsHg4Cl8 was computed for Cu Kα, 1.54184 Å.
Kinematic intensities with the Lorentz-polarization factor, no thermal factor.

Top 10 peaks for 10 to 80 degrees two-theta, by intensity:
| d/Å | I/Imax |
| --- | --- |
| 8.084 | 100 |
| 3.318 | 31 |
| 3.170 | 27 |
| 4.041 | 19 |
| 3.037 | 18 |
| 3.775 | 16 |
| 3.827 | 15 |
| 3.741 | 14 |
| 3.619 | 12 |
| 2.311 | 12 |

Atomic structure:
```
CsHg4Cl8
1.0
8.3542 0.0000 0.0000
-3.2486 7.7286 0.0000
-2.4478 -1.7686 8.0835
Cs Hg Cl
1 4 8
direct
0.0000 0.0000 0.0000
0.0036 0.2620 0.5182
0.4959 0.7480 0.4848
0.5041 0.2520 0.5152
0.9964 0.7380 0.4818
0.1993 0.6617 0.6859
0.2056 0.1649 0.6991
0.2809 0.8699 0.3159
0.2890 0.3644 0.3309
0.7110 0.6356 0.6691
0.7191 0.1301 0.6841
0.7944 0.8351 0.3009
0.8007 0.3383 0.3141
```


Starting from DFT lattice parameters and positions (PBE), the powder XRD pattern of PrReN4 was computed for Cu Kα, 1.54184 Å.
Kinematic intensities with the Lorentz-polarization factor, no thermal factor.

Top 10 peaks for 10 to 80 degrees two-theta, by intensity:
| d/Å | I/Imax |
| --- | --- |
| 3.239 | 100 |
| 2.029 | 29 |
| 1.640 | 28 |
| 2.690 | 25 |
| 1.811 | 19 |
| 3.090 | 19 |
| 1.312 | 13 |
| 1.620 | 13 |
| 1.902 | 11 |
| 1.340 | 8 |

Atomic structure:
```
PrReN4
1.0
-2.6897 2.6897 6.1792
2.6897 -2.6897 6.1792
2.6897 2.6897 -6.1792
Pr Re N
2 2 8
direct
0.3750 0.1250 0.2500
0.6250 0.8750 0.7500
0.1250 0.3750 0.7500
0.8750 0.6250 0.2500
0.0758 0.2061 0.3679
0.2080 0.5758 0.3698
0.2939 0.1618 0.8698
0.3382 0.7080 0.1321
0.6618 0.2920 0.8679
0.7061 0.8382 0.1302
0.7920 0.4242 0.6302
0.9242 0.7939 0.6321
```


> What is the formula in the second record?

PrReN4